1.
Computed X-ray diffraction stick pattern of Be3PdAu for Cu Kα, from DFT lattice parameters and positions (GGA-PBE).

Top 6 peaks for 10 to 80 degrees two-theta, sorted by position:
14.75 deg, intensity 39; 28.06 deg, intensity 22; 33.17 deg, intensity 100; 34.63 deg, intensity 26; 35.08 deg, intensity 32; 42.42 deg, intensity 41

Atomic structure:
```
Be3PdAu
1.0
3.7477 0.0000 0.0000
0.0000 5.1167 0.0000
0.0000 0.0000 6.0069
Be Pd Au
6 2 2
Direct
0.2500 0.0364 0.2173
0.2500 0.4636 0.2173
0.2500 0.7500 0.9230
0.7500 0.2500 0.0770
0.7500 0.5364 0.7827
0.7500 0.9636 0.7827
0.2500 0.2500 0.8430
0.7500 0.7500 0.1570
0.2500 0.7500 0.5402
0.7500 0.2500 0.4598
```


2.
Computed X-ray diffraction stick pattern of RbIn4Cl5 for Cu Kα, from DFT lattice parameters and positions (GGA-PBE).

Top 6 peaks for 10 to 80 degrees two-theta, sorted by position:
23.71 deg, intensity 47; 27.44 deg, intensity 100; 39.20 deg, intensity 74; 46.33 deg, intensity 26; 48.51 deg, intensity 26; 64.06 deg, intensity 32

Atomic structure:
```
RbIn4Cl5
1.0
-5.1387 5.1387 3.2505
5.1387 -5.1387 3.2505
5.1387 5.1387 -3.2505
Rb In Cl
1 4 5
Direct
0.0000 0.0000 0.0000
0.1999 0.5988 0.7974
0.4025 0.1999 0.6011
0.5988 0.8014 0.3989
0.8014 0.4025 0.2026
0.0932 0.3063 0.4054
0.3063 0.9009 0.2131
0.5003 0.5003 0.0000
0.6878 0.0932 0.7869
0.9009 0.6878 0.5946
```


Q: Number 2 is which compound?
A: RbIn4Cl5